Diffraction record for CsLiNp2O8. The PXRD pattern is simulated, not measured: it uses DFT lattice parameters and positions (GGA-PBE) and Cu Kα, 1.54184 Å.
Lines closer than 0.1° are merged.

Crystal structure
```
CsLiNp2O8
1.0
5.827 0.000 0.000
-2.913 5.046 0.000
0.000 0.000 7.145
Cs Li Np O
1 1 2 8
direct
0.000 0.000 0.000
0.000 0.000 0.500
0.333 0.667 0.439
0.667 0.333 0.561
0.059 0.376 0.618
0.317 0.941 0.618
0.333 0.667 0.178
0.376 0.317 0.382
0.624 0.683 0.618
0.667 0.333 0.822
0.683 0.059 0.382
0.941 0.624 0.382
```

The 10 most intense peaks (10 to 90 degrees two-theta), low angle first:
h k l	2theta	I_rel
0 0 1	12.39	55
0 1 1	21.56	100
0 0 2	24.93	17
1 1 0	30.68	68
2 -1 1	33.21	17
2 0 1	37.82	25
2 -1 2	39.93	30
0 1 3	41.95	22
3 -2 1	49.46	24
3 0 0	54.53	35